CdIrO3: theoretical powder X-ray diffraction pattern (Cu Kα (weighted mean of Kα1 and Kα2)), based on a structure optimized by DFT (GGA-PBE).

Main lines, by intensity (10 to 90 degrees two-theta):
2theta  d/Å  I_rel
33.05  2.710  100
30.98  2.886  77
50.32  1.813  39
22.50  3.952  31
45.93  1.976  29
57.75  1.597  28
59.03  1.565  27
18.18  4.880  21
67.11  1.395  20
37.98  2.369  19

Crystal structure
```
CdIrO3
1.0
2.710 1.565 4.880
-2.710 1.565 4.880
0.000 -3.129 4.880
Cd Ir O
2 2 6
Direct
0.129 0.129 0.129
0.871 0.871 0.871
0.339 0.339 0.339
0.661 0.661 0.661
0.062 0.461 0.702
0.298 0.938 0.539
0.461 0.702 0.062
0.539 0.298 0.938
0.702 0.062 0.461
0.938 0.539 0.298
```

---

HfAg2Pd: theoretical powder X-ray diffraction pattern (Cu Kα (weighted mean of Kα1 and Kα2)), based on a structure optimized by DFT (GGA-PBE).

Main lines, by intensity (10 to 90 degrees two-theta):
2theta  d/Å  I_rel
38.95  2.313  100
70.54  1.335  33
56.26  1.635  17
83.63  1.156  11
23.56  3.776  4
27.27  3.270  2
46.02  1.972  2
61.83  1.501  1
63.62  1.463  1
88.42  1.106  1

Crystal structure
```
HfAg2Pd
1.0
0.000 3.270 3.270
3.270 0.000 3.270
3.270 3.270 0.000
Hf Ag Pd
1 2 1
Direct
0.000 0.000 0.000
0.250 0.250 0.250
0.500 0.500 0.500
0.750 0.750 0.750
```

---

K2RbPb3Au2: theoretical powder X-ray diffraction pattern (Cu Kα (weighted mean of Kα1 and Kα2)), based on a structure optimized by DFT (GGA-PBE).

Main lines, by intensity (10 to 90 degrees two-theta):
2theta  d/Å  I_rel
14.26  6.212  100
34.37  2.609  55
27.41  3.254  39
35.83  2.506  32
28.39  3.144  31
37.22  2.416  27
28.85  3.095  27
40.05  2.251  17
38.73  2.325  16
38.88  2.316  14

Crystal structure
```
K2RbPb3Au2
1.0
6.651 -2.416 0.000
6.651 2.416 0.000
-3.359 0.000 8.758
K Rb Pb Au
2 1 3 2
Direct
0.000 0.000 0.000
0.096 0.096 0.436
0.435 0.435 0.603
0.353 0.353 0.174
0.693 0.693 0.933
0.746 0.746 0.304
0.264 0.264 0.819
0.765 0.765 0.653
```

---

Ho4CI2Br3: theoretical powder X-ray diffraction pattern (Cu Kα (weighted mean of Kα1 and Kα2)), based on a structure optimized by DFT (GGA-PBE).

Main lines, by intensity (10 to 90 degrees two-theta):
2theta  d/Å  I_rel
31.90  2.805  100
29.75  3.003  43
11.05  8.010  34
30.88  2.896  30
34.07  2.632  27
44.45  2.038  25
43.92  2.061  25
56.78  1.622  19
47.19  1.926  19
28.52  3.129  18

Crystal structure
```
Ho4CI2Br3
1.0
9.206 -1.926 0.000
9.206 1.926 0.000
-1.688 0.000 8.010
Ho C I Br
4 1 2 3
Direct
0.002 0.002 0.302
0.368 0.368 0.437
0.632 0.632 0.563
0.998 0.998 0.698
0.500 0.500 0.500
0.166 0.166 0.852
0.834 0.834 0.148
0.165 0.165 0.329
0.500 0.500 0.000
0.835 0.835 0.671
```

---

Sr2Ge5Pt3: theoretical powder X-ray diffraction pattern (Cu Kα (weighted mean of Kα1 and Kα2)), based on a structure optimized by DFT (GGA-PBE).

Main lines, by intensity (10 to 90 degrees two-theta):
2theta  d/Å  I_rel
40.97  2.203  100
32.75  2.735  91
33.14  2.703  51
23.27  3.822  50
33.81  2.651  46
45.01  2.014  38
45.53  1.992  31
21.89  4.060  31
30.45  2.935  26
16.95  5.232  25

Crystal structure
```
Sr2Ge5Pt3
1.0
-5.232 6.150 3.157
5.232 -6.150 3.157
5.232 6.150 -3.157
Sr Ge Pt
4 10 6
Direct
0.131 0.236 0.367
0.369 0.736 0.105
0.631 0.264 0.895
0.869 0.764 0.633
0.016 0.750 0.266
0.106 0.650 0.756
0.250 0.250 0.000
0.394 0.150 0.544
0.484 0.750 0.734
0.516 0.250 0.266
0.606 0.850 0.456
0.750 0.750 0.000
0.894 0.350 0.244
0.984 0.250 0.734
0.135 0.887 0.022
0.250 0.750 0.500
0.365 0.387 0.753
0.635 0.613 0.247
0.750 0.250 0.500
0.865 0.113 0.978
```

---

Cu9Te: theoretical powder X-ray diffraction pattern (Cu Kα (weighted mean of Kα1 and Kα2)), based on a structure optimized by DFT (GGA-PBE).

Main lines, by intensity (10 to 90 degrees two-theta):
2theta  d/Å  I_rel
43.80  2.067  100
46.58  1.950  98
42.39  2.132  90
67.98  1.379  29
84.45  1.147  25
83.48  1.158  22
78.48  1.219  22
38.60  2.333  21
41.05  2.199  16
45.27  2.003  15

Crystal structure
```
Cu9Te
1.0
2.758 0.000 0.000
0.000 2.758 0.000
0.000 0.000 43.712
Cu Te
18 2
Direct
0.250 0.250 0.018
0.250 0.250 0.090
0.250 0.250 0.162
0.250 0.250 0.234
0.250 0.250 0.308
0.250 0.250 0.729
0.250 0.250 0.802
0.250 0.250 0.875
0.250 0.250 0.946
0.750 0.750 0.054
0.750 0.750 0.125
0.750 0.750 0.198
0.750 0.750 0.271
0.750 0.750 0.692
0.750 0.750 0.766
0.750 0.750 0.838
0.750 0.750 0.910
0.750 0.750 0.982
0.250 0.250 0.633
0.750 0.750 0.367
```

---

Cs2Zn5P6H14O28: theoretical powder X-ray diffraction pattern (Cu Kα (weighted mean of Kα1 and Kα2)), based on a structure optimized by DFT (GGA-PBE).

Main lines, by intensity (10 to 90 degrees two-theta):
2theta  d/Å  I_rel
27.38  3.258  100
28.78  3.102  87
23.44  3.795  80
31.01  2.884  79
20.53  4.326  73
26.71  3.338  72
22.64  3.928  67
30.05  2.974  61
24.88  3.579  58
36.06  2.491  58

Crystal structure
```
Cs2Zn5P6H14O28
1.0
7.991 0.000 0.000
-3.025 8.824 0.000
-1.761 -4.139 8.651
Cs Zn P H O
2 5 6 14 28
Direct
0.048 0.223 0.492
0.952 0.777 0.508
0.087 0.425 0.172
0.427 0.767 0.849
0.500 0.000 0.500
0.573 0.233 0.151
0.913 0.575 0.828
0.192 0.967 0.930
0.256 0.474 0.927
0.350 0.635 0.495
0.650 0.365 0.505
0.744 0.526 0.073
0.808 0.033 0.070
0.045 0.121 0.935
0.067 0.706 0.187
0.278 0.959 0.205
0.319 0.801 0.167
0.337 0.044 0.707
0.370 0.219 0.701
0.473 0.481 0.622
0.527 0.519 0.378
0.630 0.781 0.299
0.663 0.956 0.293
0.681 0.199 0.833
0.722 0.041 0.795
0.933 0.294 0.813
0.955 0.879 0.065
0.026 0.413 0.842
0.040 0.817 0.932
0.095 0.059 0.857
0.156 0.492 0.390
0.270 0.438 0.069
0.275 0.870 0.242
0.302 0.914 0.823
0.313 0.083 0.099
0.323 0.383 0.808
0.326 0.667 0.977
0.343 0.100 0.636
0.352 0.807 0.528
0.395 0.610 0.644
0.495 0.375 0.581
0.505 0.625 0.419
0.605 0.390 0.356
0.648 0.193 0.472
0.657 0.900 0.364
0.674 0.333 0.023
0.677 0.617 0.192
0.687 0.917 0.901
0.698 0.086 0.177
0.725 0.130 0.758
0.730 0.562 0.931
0.844 0.508 0.610
0.905 0.941 0.143
0.960 0.183 0.068
0.974 0.587 0.158
```

---

Na2Mg2AlInPt2: theoretical powder X-ray diffraction pattern (Cu Kα (weighted mean of Kα1 and Kα2)), based on a structure optimized by DFT (GGA-PBE).

Main lines, by intensity (10 to 90 degrees two-theta):
2theta  d/Å  I_rel
23.39  3.803  100
38.55  2.335  89
38.90  2.315  45
45.89  1.977  35
70.21  1.341  30
27.24  3.274  16
45.28  2.003  16
56.19  1.637  15
69.51  1.352  14
61.19  1.515  13

Crystal structure
```
Na2Mg2AlInPt2
1.0
4.630 0.000 0.000
0.000 4.630 0.000
0.000 0.000 6.664
Na Mg Al In Pt
2 2 1 1 2
Direct
0.000 0.500 0.242
0.500 0.000 0.758
0.000 0.000 0.000
0.500 0.500 0.500
0.500 0.500 0.000
0.000 0.000 0.500
0.000 0.500 0.770
0.500 0.000 0.230
```

---

Zr3ScCu2: theoretical powder X-ray diffraction pattern (Cu Kα (weighted mean of Kα1 and Kα2)), based on a structure optimized by DFT (GGA-PBE).

Main lines, by intensity (10 to 90 degrees two-theta):
2theta  d/Å  I_rel
36.82  2.441  100
39.71  2.270  42
70.18  1.341  27
64.34  1.448  16
57.42  1.605  13
48.41  1.880  10
78.33  1.221  9
82.64  1.168  6
85.58  1.135  4
28.92  3.087  3

Crystal structure
```
Zr3ScCu2
1.0
3.210 0.000 0.000
0.000 3.210 0.000
0.000 0.000 11.281
Zr Sc Cu
3 1 2
Direct
0.000 0.000 0.000
0.000 0.000 0.309
0.500 0.500 0.811
0.500 0.500 0.502
0.000 0.000 0.654
0.500 0.500 0.155
```